(1)
Structure and theoretical powder diffraction line list of Ba4WN4Cl2 (a DFT-relaxed cell (GGA-PBE, OQMD); Cu Ka).
Kinematic intensities with the Lorentz-polarization factor, no thermal factor.

Most intense lines, 2θ from 10° to 90°, in order of falling intensity:
- 28.82 deg, d = 3.098 Å, intensity 100
- 25.62 deg, d = 3.476 Å, intensity 47
- 28.01 deg, d = 3.186 Å, intensity 42
- 33.65 deg, d = 2.664 Å, intensity 38
- 25.91 deg, d = 3.439 Å, intensity 24
- 32.52 deg, d = 2.753 Å, intensity 23
- 44.92 deg, d = 2.018 Å, intensity 22
- 38.98 deg, d = 2.311 Å, intensity 16
- 42.55 deg, d = 2.125 Å, intensity 14
- 41.19 deg, d = 2.191 Å, intensity 13

Cell and atoms:
```
Ba4WN4Cl2
1.0
8.5066 0.0000 0.0000
0.0000 6.1906 0.0000
-1.6873 0.0000 10.6596
Ba W N Cl
8 2 8 4
direct
0.0027 0.2500 0.3715
0.1857 0.7500 0.0889
0.2870 0.2500 0.7094
0.4448 0.2500 0.3765
0.5552 0.7500 0.6235
0.7130 0.7500 0.2906
0.8143 0.2500 0.9111
0.9973 0.7500 0.6285
0.2288 0.7500 0.3997
0.7712 0.2500 0.6003
0.0354 0.7500 0.2888
0.2457 0.5020 0.5030
0.2457 0.9980 0.5030
0.3904 0.7500 0.2980
0.6096 0.2500 0.7020
0.7543 0.0020 0.4970
0.7543 0.4980 0.4970
0.9646 0.2500 0.7112
0.1598 0.2500 0.0980
0.3277 0.7500 0.8357
0.6723 0.2500 0.1643
0.8402 0.7500 0.9020
```



(2)
Structure and theoretical powder diffraction line list of DyHo6Ni2Te2 (a DFT-relaxed cell (GGA-PBE, OQMD); Cu Ka).
Kinematic intensities with the Lorentz-polarization factor, no thermal factor.

Most intense lines, 2θ from 10° to 90°, in order of falling intensity:
- 34.08 deg, d = 2.631 Å, intensity 100
- 33.03 deg, d = 2.712 Å, intensity 79
- 34.57 deg, d = 2.595 Å, intensity 74
- 30.40 deg, d = 2.940 Å, intensity 51
- 58.88 deg, d = 1.569 Å, intensity 30
- 47.27 deg, d = 1.923 Å, intensity 30
- 28.89 deg, d = 3.091 Å, intensity 22
- 30.17 deg, d = 2.963 Å, intensity 22
- 36.67 deg, d = 2.451 Å, intensity 22
- 38.51 deg, d = 2.338 Å, intensity 19

Cell and atoms:
```
DyHo6Ni2Te2
1.0
-1.9228 7.7916 4.7697
1.9228 -7.7916 4.7697
1.9228 7.7916 -4.7697
Dy Ho Ni Te
1 6 2 2
direct
0.0000 0.0000 0.0000
0.0642 0.3790 0.6852
0.0838 0.7304 0.3535
0.3769 0.7304 0.6465
0.4497 0.5827 0.8670
0.6937 0.3790 0.3148
0.7157 0.5827 0.1330
0.3093 0.0719 0.2374
0.8345 0.0719 0.7626
0.3375 0.3375 0.0000
0.7347 0.2347 0.5000
```



Copy entry 2 word for word.
Structure and theoretical powder diffraction line list of DyHo6Ni2Te2 (a DFT-relaxed cell (GGA-PBE, OQMD); Cu Ka).
Kinematic intensities with the Lorentz-polarization factor, no thermal factor.

Most intense lines, 2θ from 10° to 90°, in order of falling intensity:
- 34.08 deg, d = 2.631 Å, intensity 100
- 33.03 deg, d = 2.712 Å, intensity 79
- 34.57 deg, d = 2.595 Å, intensity 74
- 30.40 deg, d = 2.940 Å, intensity 51
- 58.88 deg, d = 1.569 Å, intensity 30
- 47.27 deg, d = 1.923 Å, intensity 30
- 28.89 deg, d = 3.091 Å, intensity 22
- 30.17 deg, d = 2.963 Å, intensity 22
- 36.67 deg, d = 2.451 Å, intensity 22
- 38.51 deg, d = 2.338 Å, intensity 19

Cell and atoms:
```
DyHo6Ni2Te2
1.0
-1.9228 7.7916 4.7697
1.9228 -7.7916 4.7697
1.9228 7.7916 -4.7697
Dy Ho Ni Te
1 6 2 2
direct
0.0000 0.0000 0.0000
0.0642 0.3790 0.6852
0.0838 0.7304 0.3535
0.3769 0.7304 0.6465
0.4497 0.5827 0.8670
0.6937 0.3790 0.3148
0.7157 0.5827 0.1330
0.3093 0.0719 0.2374
0.8345 0.0719 0.7626
0.3375 0.3375 0.0000
0.7347 0.2347 0.5000
```